Simulated X-ray powder pattern of Rb2LiU2O7 for Cu Kα, 1.54184 Å, from a GGA-PBE-relaxed structure.
Peak positions follow from Bragg's law for the DFT cell and can differ from measured ones.

Top 10 peaks for 10 to 90 degrees two-theta, in order of rising 2θ:
d [Å]	intensity
5.696	33
4.245	76
3.798	14
3.135	100
3.055	55
2.160	31
1.925	19
1.827	19
1.779	41
1.568	16

```
Rb2LiU2O7
1.0
-2.1603 2.1603 11.3927
2.1603 -2.1603 11.3927
2.1603 2.1603 -11.3927
Rb Li U O
2 1 2 7
Direct
0.1911 0.1911 0.0000
0.8089 0.8089 0.0000
0.0000 0.0000 0.0000
0.4076 0.4076 0.0000
0.5924 0.5924 0.0000
0.0885 0.5885 0.5000
0.3204 0.3204 0.0000
0.4115 0.9115 0.5000
0.5000 0.5000 0.0000
0.5885 0.0885 0.5000
0.6796 0.6796 0.0000
0.9115 0.4115 0.5000
```

---

Simulated X-ray powder pattern of Rb2Li4UO6 for Cu Kα, 1.54184 Å, from a GGA-PBE-relaxed structure.
Peak positions follow from Bragg's law for the DFT cell and can differ from measured ones.

Top 10 peaks for 10 to 90 degrees two-theta, in order of rising 2θ:
d [Å]	intensity
5.338	28
3.912	100
3.082	40
2.531	11
2.421	34
2.102	31
1.904	28
1.513	11
1.434	11
1.389	13

```
Rb2Li4UO6
1.0
6.1632 0.0000 0.0000
-3.0816 5.3375 0.0000
0.0000 0.0000 5.7490
Rb Li U O
2 4 1 6
Direct
0.3333 0.6667 0.4484
0.6667 0.3333 0.5516
0.0000 0.0000 0.5000
0.0000 0.5000 0.0000
0.5000 0.0000 0.0000
0.5000 0.5000 0.0000
0.0000 0.0000 0.0000
0.1628 0.3256 0.7982
0.1628 0.8372 0.7982
0.3256 0.1628 0.2018
0.6744 0.8372 0.7982
0.8372 0.1628 0.2018
0.8372 0.6744 0.2018
```

---

Simulated X-ray powder pattern of Rb2Li2UO6 for Cu Kα, 1.54184 Å, from a GGA-PBE-relaxed structure.
Peak positions follow from Bragg's law for the DFT cell and can differ from measured ones.

Top 10 peaks for 10 to 90 degrees two-theta, in order of rising 2θ:
d [Å]	intensity
4.831	17
3.852	100
3.192	13
2.789	29
2.259	23
2.100	39
1.947	14
1.755	22
1.596	11
1.385	21

```
Rb2Li2UO6
1.0
5.5780 0.0000 0.0000
-2.7890 4.8307 0.0000
0.0000 0.0000 6.3830
Rb Li U O
2 2 1 6
Direct
0.3333 0.6667 0.0000
0.6667 0.3333 0.0000
0.3333 0.6667 0.5000
0.6667 0.3333 0.5000
0.0000 0.0000 0.5000
0.0000 0.3083 0.6700
0.0000 0.6917 0.3300
0.3083 0.0000 0.6700
0.3083 0.3083 0.3300
0.6917 0.0000 0.3300
0.6917 0.6917 0.6700
```

---

Simulated X-ray powder pattern of RbLi2U2O7 for Cu Kα, 1.54184 Å, from a GGA-PBE-relaxed structure.
Peak positions follow from Bragg's law for the DFT cell and can differ from measured ones.

Top 10 peaks for 10 to 90 degrees two-theta, in order of rising 2θ:
d [Å]	intensity
4.578	48
4.197	81
3.522	100
3.049	68
2.791	73
2.156	44
1.839	50
1.831	30
1.706	36
1.570	33

```
RbLi2U2O7
1.0
-2.1561 2.1561 9.1558
2.1561 -2.1561 9.1558
2.1561 2.1561 -9.1558
Rb Li U O
1 2 2 7
Direct
0.0000 0.0000 0.0000
0.2500 0.7500 0.5000
0.7500 0.2500 0.5000
0.3810 0.3810 0.0000
0.6190 0.6190 0.0000
0.1205 0.6205 0.5000
0.2726 0.2726 0.0000
0.3795 0.8795 0.5000
0.5000 0.5000 0.0000
0.6205 0.1205 0.5000
0.7274 0.7274 0.0000
0.8795 0.3795 0.5000
```